The following is a simulated X-ray diffraction stick pattern of RbCoCuCl6. It was derived from the PBE geometry in Alexandria, using Cu Kα.
No peak broadening, texture or thermal motion is included.

Largest 10 diffraction maxima, by angle, 2θ from 15° to 90°:
hkl 1 0 1, 4.337 Å, 20.48 deg, intensity 100.0; hkl 1 1 1, 2.854 Å, 31.34 deg, intensity 30.9; hkl 2 0 1, 2.520 Å, 35.63 deg, intensity 14.2; hkl 2 -1 2, 2.371 Å, 37.94 deg, intensity 70.2; hkl 3 -1 1, 1.954 Å, 46.47 deg, intensity 21.9; hkl 2 0 3, 1.812 Å, 50.35 deg, intensity 13.6; hkl 3 0 0, 1.787 Å, 51.11 deg, intensity 21.7; hkl 1 1 4, 1.585 Å, 58.22 deg, intensity 16.6; hkl 3 1 1, 1.458 Å, 63.86 deg, intensity 10.8; hkl 2 2 2, 1.427 Å, 65.39 deg, intensity 10.9

Atomic structure:
```
RbCoCuCl6
1.0
6.1910 0.0000 0.0000
-3.0955 5.3615 0.0000
0.0000 0.0000 7.3791
Rb Co Cu Cl
1 1 1 6
Cartesian
0.0000 0.0000 0.0000 Rb
3.0955 1.7872 3.6896 Co
0.0000 3.5744 3.6896 Cu
2.2897 0.1200 4.9899 Cl
1.2488 1.9229 2.3892 Cl
3.9013 0.1200 2.3892 Cl
2.0546 3.3186 4.9899 Cl
4.9422 1.9229 4.9899 Cl
4.1364 3.3186 2.3892 Cl
```